1.
HfScRh2: computed powder diffractogram (a wavelength of 1.5418 Å), based on a structure optimized by DFT (GGA-PBE).
Lines closer than 0.1° are merged.

The 7 most intense peaks (10 to 80 degrees two-theta), sorted by position:
d/Å	two_theta	I (rel.)
3.760	23.66	22
2.302	39.13	100
1.963	46.24	12
1.628	56.53	17
1.494	62.13	5
1.329	70.90	34
1.253	75.93	4

Crystal structure
a b c (Å): 4.6047 4.6047 4.6047
angles (deg): 60.00 60.00 60.00
Sites, in units of the cell vectors:
Hf1 0.0000 0.0000 0.0000
Sc1 0.5000 0.5000 0.5000
Rh1 0.2500 0.2500 0.2500
Rh2 0.7500 0.7500 0.7500

***

2.
SiH9C3Cl: computed powder diffractogram (a wavelength of 1.5418 Å), based on a structure optimized by DFT (GGA-PBE).
Lines closer than 0.1° are merged.

The 12 most intense peaks (10 to 80 degrees two-theta), sorted by position:
d/Å	two_theta	I (rel.)
6.920	12.79	19
6.608	13.40	23
5.230	16.95	100
5.092	17.42	15
4.736	18.74	12
4.129	21.52	25
3.994	22.26	20
3.460	25.75	39
3.418	26.07	12
3.304	26.99	18
3.043	29.35	10
1.997	45.41	15

Crystal structure
a b c (Å): 6.6090 7.9884 6.9213
angles (deg): 90.00 91.04 90.00
Sites, in units of the cell vectors:
Si1 0.1851 0.2500 0.3146
Si2 0.8149 0.7500 0.6854
H1 0.2027 0.0528 0.0363
H2 0.2027 0.4472 0.0363
H3 0.2057 0.5567 0.2607
H4 0.2057 0.9433 0.2607
H5 0.2101 0.1381 0.6485
H6 0.2101 0.3619 0.6485
H7 0.4279 0.0468 0.1813
H8 0.4279 0.4532 0.1813
H9 0.4333 0.2500 0.5877
H10 0.5667 0.7500 0.4123
H11 0.5721 0.5468 0.8187
H12 0.5721 0.9532 0.8187
H13 0.7899 0.6381 0.3515
H14 0.7899 0.8619 0.3515
H15 0.7943 0.0567 0.7393
H16 0.7943 0.4433 0.7393
H17 0.7973 0.5528 0.9637
H18 0.7973 0.9472 0.9637
C1 0.2617 0.0550 0.1858
C2 0.2617 0.4450 0.1858
C3 0.2671 0.2500 0.5746
C4 0.7329 0.7500 0.4254
C5 0.7383 0.5550 0.8142
C6 0.7383 0.9450 0.8142
Cl1 0.1355 0.7500 0.6847
Cl2 0.8645 0.2500 0.3153

***

3.
LiCu6OF11: computed powder diffractogram (a wavelength of 1.5418 Å), based on a structure optimized by DFT (GGA-PBE).
Lines closer than 0.1° are merged.

The 12 most intense peaks (10 to 80 degrees two-theta), sorted by position:
d/Å	two_theta	I (rel.)
3.306	26.97	88
3.265	27.32	100
3.087	28.92	70
2.821	31.72	45
2.772	32.29	38
2.587	34.68	21
1.950	46.57	19
1.918	47.39	23
1.754	52.13	21
1.675	54.80	27
1.652	55.62	22
1.632	56.36	20

Crystal structure
a b c (Å): 4.6290 5.3916 9.2641
angles (deg): 89.86 88.63 89.96
Sites, in units of the cell vectors:
Li1 0.0000 0.0000 0.0000
Cu1 0.2355 0.6618 0.5395
Cu2 0.2378 0.3427 0.8528
Cu3 0.2390 0.9814 0.2383
Cu4 0.6692 0.8064 0.8327
Cu5 0.7313 0.1679 0.5358
Cu6 0.7692 0.5075 0.2244
O1 0.9851 0.7661 0.1523
F1 0.0284 0.6326 0.7801
F2 0.0375 0.2541 0.1405
F3 0.0400 0.9560 0.4657
F4 0.4012 0.0352 0.9358
F5 0.4376 0.3787 0.6243
F6 0.4689 0.7125 0.3127
F7 0.5251 0.5351 0.9469
F8 0.5312 0.8800 0.6212
F9 0.5341 0.2167 0.2956
F10 0.9133 0.1248 0.8072
F11 0.9431 0.4515 0.4580

***

4.
MgH2: computed powder diffractogram (a wavelength of 1.5418 Å), based on a structure optimized by DFT (GGA-PBE).
Lines closer than 0.1° are merged.

The 5 most intense peaks (10 to 80 degrees two-theta), sorted by position:
d/Å	two_theta	I (rel.)
2.749	32.57	100
2.381	37.78	40
1.684	54.50	37
1.436	64.95	37
1.375	68.22	10

Crystal structure
a b c (Å): 3.3673 3.3673 3.3673
angles (deg): 60.00 60.00 60.00
Sites, in units of the cell vectors:
Mg1 0.0000 0.0000 0.0000
H1 0.2500 0.2500 0.2500
H2 0.7500 0.7500 0.7500